[1]
Structure and computed X-ray diffraction stick pattern of SrPrSi4 (a structure optimized by DFT (GGA-PBE); copper Kα).

Unit cell a=7.5157 b=7.5157 c=7.5157 alpha=146.15 beta=146.15 gamma=48.62
Element x y z (fractional)
Sr (0.0000, 0.0000, 0.0000)
Pr (0.7500, 0.2500, 0.5000)
Si (0.1664, 0.6664, 0.5000)
Si (0.3336, 0.8336, 0.5000)
Si (0.4137, 0.4137, 0.0000)
Si (0.5863, 0.5863, 0.0000)

The 10 most intense peaks (2θ = 15–90°), most intense first:
two_theta  I_rel
31.73  100.0
28.25  47.3
38.78  39.7
41.26  34.9
21.32  30.6
57.91  24.2
69.27  20.5
50.76  18.5
51.13  17.0
67.71  15.0

---

[2]
Structure and computed X-ray diffraction stick pattern of Ac19Sm4Y6 (a structure optimized by DFT (GGA-PBE); copper Kα).

Unit cell a=11.7696 b=11.7696 c=11.7696 alpha=109.47 beta=109.47 gamma=109.47
Element x y z (fractional)
Ac (0.0000, 0.0000, 0.0000)
Ac (0.0000, 0.2662, 0.2662)
Ac (0.0000, 0.7338, 0.7338)
Ac (0.0053, 0.2174, 0.6628)
Ac (0.2121, 0.9947, 0.6575)
Ac (0.2174, 0.6628, 0.0053)
Ac (0.2662, 0.0000, 0.2662)
Ac (0.2662, 0.2662, 0.0000)
Ac (0.3372, 0.5546, 0.3425)
Ac (0.3425, 0.3372, 0.5546)
Ac (0.4454, 0.7826, 0.7879)
Ac (0.5546, 0.3425, 0.3372)
Ac (0.6575, 0.2121, 0.9947)
Ac (0.6628, 0.0053, 0.2174)
Ac (0.7338, 0.0000, 0.7338)
Ac (0.7338, 0.7338, 0.0000)
Ac (0.7826, 0.7879, 0.4454)
Ac (0.7879, 0.4454, 0.7826)
Ac (0.9947, 0.6575, 0.2121)
Sm (0.0000, 0.0000, 0.3536)
Sm (0.0000, 0.3536, 0.0000)
Sm (0.3536, 0.0000, 0.0000)
Sm (0.6464, 0.6464, 0.6464)
Y (0.1174, 0.5000, 0.6174)
Y (0.3826, 0.8826, 0.5000)
Y (0.5000, 0.3826, 0.8826)
Y (0.5000, 0.6174, 0.1174)
Y (0.6174, 0.1174, 0.5000)
Y (0.8826, 0.5000, 0.3826)

The 10 most intense peaks (2θ = 15–90°), most intense first:
two_theta  I_rel
27.85  100.0
26.23  48.6
33.63  46.6
24.51  33.1
49.27  29.5
54.88  26.9
32.27  25.5
47.30  21.3
38.63  17.4
30.86  16.9

---

[3]
Structure and computed X-ray diffraction stick pattern of RbCr2Mo (a structure optimized by DFT (GGA-PBE); copper Kα).

Unit cell a=8.6170 b=8.6170 c=8.6170 alpha=140.31 beta=140.31 gamma=57.38
Element x y z (fractional)
Rb (0.3750, 0.6250, 0.7500)
Rb (0.6250, 0.3750, 0.2500)
Cr (0.0000, 0.0000, 0.0000)
Cr (0.0000, 0.0000, 0.5000)
Cr (0.0000, 0.5000, 0.0000)
Cr (0.5000, 0.0000, 0.5000)
Mo (0.1250, 0.8750, 0.2500)
Mo (0.8750, 0.1250, 0.7500)

The 10 most intense peaks (2θ = 15–90°), most intense first:
two_theta  I_rel
24.53  100.0
50.29  33.1
16.25  32.1
38.93  28.9
30.56  28.4
50.81  26.2
41.98  23.2
32.83  16.1
62.26  14.1
83.59  10.3

---

[4]
Structure and computed X-ray diffraction stick pattern of Ba9In4 (a structure optimized by DFT (GGA-PBE); copper Kα).

Unit cell a=10.4558 b=10.4558 c=10.4558 alpha=94.72 beta=94.72 gamma=146.65
Element x y z (fractional)
Ba (0.0000, 0.0000, 0.0000)
Ba (0.1137, 0.3750, 0.4888)
Ba (0.3134, 0.6102, 0.9236)
Ba (0.3750, 0.8863, 0.2613)
Ba (0.3898, 0.3134, 0.7032)
Ba (0.6102, 0.6866, 0.2968)
Ba (0.6250, 0.1137, 0.7387)
Ba (0.6866, 0.3898, 0.0764)
Ba (0.8863, 0.6250, 0.5112)
In (0.0988, 0.7618, 0.8606)
In (0.2382, 0.0988, 0.3370)
In (0.7618, 0.9012, 0.6630)
In (0.9012, 0.2382, 0.1394)

The 10 most intense peaks (2θ = 15–90°), most intense first:
two_theta  I_rel
27.13  100.0
29.78  31.2
29.97  26.4
51.25  16.9
28.17  15.7
23.98  14.5
32.22  13.4
25.15  12.5
37.33  12.1
49.23  11.9

---

[5]
Structure and computed X-ray diffraction stick pattern of ReSiTe (a structure optimized by DFT (GGA-PBE); copper Kα).

Unit cell a=6.9374 b=6.9374 c=6.9374 alpha=156.29 beta=147.32 gamma=40.77
Element x y z (fractional)
Re (0.0000, 0.0000, 0.0000)
Si (0.5265, 0.5265, 0.0000)
Te (0.7970, 0.7970, 0.0000)

The 10 most intense peaks (2θ = 15–90°), most intense first:
two_theta  I_rel
23.80  100.0
39.13  60.2
27.43  56.3
48.45  47.2
32.15  47.0
41.73  37.5
41.64  27.0
47.31  26.2
58.48  19.8
46.53  18.4

---

[6]
Structure and computed X-ray diffraction stick pattern of Sm3NbO7 (a structure optimized by DFT (GGA-PBE); copper Kα).

Unit cell a=6.6479 b=6.6479 c=7.6334 alpha=90.00 beta=90.00 gamma=108.53
Element x y z (fractional)
Sm (0.0371, 0.4987, 0.2612)
Sm (0.0400, 0.0400, 0.0000)
Sm (0.4987, 0.0371, 0.7388)
Sm (0.5013, 0.9629, 0.2388)
Sm (0.9600, 0.9600, 0.5000)
Sm (0.9629, 0.5013, 0.7612)
Nb (0.4976, 0.4976, 0.5000)
Nb (0.5024, 0.5024, 0.0000)
O (0.1290, 0.8710, 0.7500)
O (0.1390, 0.8610, 0.2500)
O (0.1732, 0.4177, 0.9790)
O (0.1999, 0.4550, 0.5462)
O (0.4177, 0.1732, 0.0210)
O (0.4339, 0.5661, 0.2500)
O (0.4550, 0.1999, 0.4538)
O (0.5450, 0.8001, 0.9538)
O (0.5661, 0.4339, 0.7500)
O (0.5823, 0.8268, 0.5210)
O (0.8001, 0.5450, 0.0462)
O (0.8268, 0.5823, 0.4790)
O (0.8610, 0.1390, 0.7500)
O (0.8710, 0.1290, 0.2500)

The 10 most intense peaks (2θ = 15–90°), most intense first:
two_theta  I_rel
28.32  100.0
28.65  100.0
47.45  54.8
32.91  44.6
56.37  38.1
55.79  21.3
33.20  20.5
47.65  16.9
56.56  11.7
46.80  11.4

---

[7]
Structure and computed X-ray diffraction stick pattern of TbYGa2Pd5 (a structure optimized by DFT (GGA-PBE); copper Kα).

Unit cell a=4.2055 b=4.2055 c=9.2629 alpha=90.00 beta=90.00 gamma=90.00
Element x y z (fractional)
Tb (0.0000, 0.0000, 0.0000)
Y (0.0000, 0.0000, 0.5000)
Ga (0.5000, 0.5000, 0.3659)
Ga (0.5000, 0.5000, 0.6341)
Pd (0.0000, 0.5000, 0.2222)
Pd (0.0000, 0.5000, 0.7778)
Pd (0.5000, 0.0000, 0.2222)
Pd (0.5000, 0.0000, 0.7778)
Pd (0.5000, 0.5000, 0.0000)

The 10 most intense peaks (2θ = 15–90°), most intense first:
two_theta  I_rel
35.89  100.0
43.02  47.1
42.19  29.9
74.19  23.2
62.46  15.2
59.37  12.2
38.89  10.6
68.48  10.2
78.27  9.5
67.37  9.3

---

[8]
Structure and computed X-ray diffraction stick pattern of NaAc5Cd6 (a structure optimized by DFT (GGA-PBE); copper Kα).

Unit cell a=9.0359 b=9.0359 c=8.0737 alpha=90.00 beta=90.00 gamma=143.04
Element x y z (fractional)
Na (0.0000, 0.0000, 0.0000)
Ac (0.0000, 0.0000, 0.5000)
Ac (0.3310, 0.6690, 0.5000)
Ac (0.3371, 0.6629, 0.0000)
Ac (0.6629, 0.3371, 0.0000)
Ac (0.6690, 0.3310, 0.5000)
Cd (0.1640, 0.8360, 0.2429)
Cd (0.1640, 0.8360, 0.7571)
Cd (0.5000, 0.5000, 0.2500)
Cd (0.5000, 0.5000, 0.7500)
Cd (0.8360, 0.1640, 0.2429)
Cd (0.8360, 0.1640, 0.7571)

The 10 most intense peaks (2θ = 15–90°), most intense first:
two_theta  I_rel
31.29  100.0
55.65  19.6
55.74  19.2
44.84  18.6
65.32  9.9
74.11  8.3
74.25  8.2
21.99  6.5
19.70  2.5
38.58  2.3

---

[9]
Structure and computed X-ray diffraction stick pattern of Li8PrAl4 (a structure optimized by DFT (GGA-PBE); copper Kα).

Unit cell a=7.1900 b=7.1900 c=7.1900 alpha=98.41 beta=98.41 gamma=135.03
Element x y z (fractional)
Li (0.0000, 0.2204, 0.2204)
Li (0.0000, 0.7796, 0.7796)
Li (0.1526, 0.5000, 0.6526)
Li (0.2204, 0.0000, 0.2204)
Li (0.5000, 0.1526, 0.6526)
Li (0.5000, 0.8474, 0.3474)
Li (0.7796, 0.0000, 0.7796)
Li (0.8474, 0.5000, 0.3474)
Pr (0.5000, 0.5000, 0.0000)
Al (0.0000, 0.0000, 0.5000)
Al (0.0000, 0.5000, 0.0000)
Al (0.5000, 0.0000, 0.0000)
Al (0.5000, 0.5000, 0.5000)

The 10 most intense peaks (2θ = 15–90°), most intense first:
two_theta  I_rel
18.70  100.0
26.70  93.2
37.91  62.0
26.84  59.8
38.22  48.9
30.08  35.4
55.01  35.1
32.91  34.1
38.32  33.1
44.92  23.6

---

[10]
Structure and computed X-ray diffraction stick pattern of Tb3AuSe2 (a structure optimized by DFT (GGA-PBE); copper Kα).

Unit cell a=13.6190 b=12.9879 c=7.2024 alpha=79.19 beta=69.51 gamma=31.30
Element x y z (fractional)
Tb (0.0414, 0.5430, 0.2095)
Tb (0.1256, 0.6244, 0.6244)
Tb (0.2095, 0.7061, 0.0414)
Tb (0.2939, 0.7905, 0.4570)
Tb (0.3756, 0.8744, 0.8744)
Tb (0.4570, 0.9586, 0.2939)
Tb (0.5430, 0.0414, 0.7061)
Tb (0.6244, 0.1256, 0.1256)
Tb (0.7061, 0.2095, 0.5430)
Tb (0.7905, 0.2939, 0.9586)
Tb (0.8744, 0.3756, 0.3756)
Tb (0.9586, 0.4570, 0.7905)
Au (0.0409, 0.0409, 0.2091)
Au (0.2091, 0.2091, 0.0409)
Au (0.7909, 0.7909, 0.9591)
Au (0.9591, 0.9591, 0.7909)
Se (0.1253, 0.1253, 0.6247)
Se (0.2932, 0.2932, 0.4568)
Se (0.3753, 0.3753, 0.8747)
Se (0.4568, 0.4568, 0.2932)
Se (0.5432, 0.5432, 0.7068)
Se (0.6247, 0.6247, 0.1253)
Se (0.7068, 0.7068, 0.5432)
Se (0.8747, 0.8747, 0.3753)

The 10 most intense peaks (2θ = 15–90°), most intense first:
two_theta  I_rel
30.52  100.0
43.70  50.1
72.09  22.8
53.81  13.8
54.66  12.9
43.20  12.9
44.20  12.5
63.52  12.3
79.58  8.8
80.98  8.4

---

[11]
Structure and computed X-ray diffraction stick pattern of Bi3IO4 (a structure optimized by DFT (GGA-PBE); copper Kα).

Unit cell a=5.8465 b=20.0795 c=5.9085 alpha=90.00 beta=90.00 gamma=90.00
Element x y z (fractional)
Bi (0.2069, 0.1340, 0.2010)
Bi (0.2069, 0.3660, 0.2990)
Bi (0.2500, 0.0000, 0.6983)
Bi (0.2500, 0.5000, 0.8017)
Bi (0.2931, 0.6340, 0.2990)
Bi (0.2931, 0.8660, 0.2010)
Bi (0.7069, 0.1340, 0.7990)
Bi (0.7069, 0.3660, 0.7010)
Bi (0.7500, 0.0000, 0.3017)
Bi (0.7500, 0.5000, 0.1983)
Bi (0.7931, 0.6340, 0.7010)
Bi (0.7931, 0.8660, 0.7990)
I (0.2349, 0.2500, 0.7500)
I (0.2651, 0.7500, 0.7500)
I (0.7349, 0.2500, 0.2500)
I (0.7651, 0.7500, 0.2500)
O (0.0062, 0.5840, 0.4546)
O (0.0062, 0.9160, 0.0454)
O (0.0719, 0.0615, 0.4312)
O (0.0719, 0.4385, 0.0688)
O (0.4281, 0.5615, 0.0688)
O (0.4281, 0.9385, 0.4312)
O (0.4938, 0.0840, 0.0454)
O (0.4938, 0.4160, 0.4546)
O (0.5062, 0.5840, 0.5454)
O (0.5062, 0.9160, 0.9546)
O (0.5719, 0.0615, 0.5688)
O (0.5719, 0.4385, 0.9312)
O (0.9281, 0.5615, 0.9312)
O (0.9281, 0.9385, 0.5688)
O (0.9938, 0.0840, 0.9546)
O (0.9938, 0.4160, 0.5454)

The 10 most intense peaks (2θ = 15–90°), most intense first:
two_theta  I_rel
27.87  100.0
30.58  16.3
30.25  14.1
52.71  12.5
43.56  12.1
35.77  11.8
47.76  11.4
59.56  9.8
47.54  9.8
34.30  8.9

---

[12]
Structure and computed X-ray diffraction stick pattern of Sr2ZrBOs (a structure optimized by DFT (GGA-PBE); copper Kα).

Unit cell a=5.3087 b=5.3087 c=4.5600 alpha=90.00 beta=90.00 gamma=90.00
Element x y z (fractional)
Sr (0.0000, 0.5000, 0.0000)
Sr (0.5000, 0.0000, 0.0000)
Zr (0.0000, 0.0000, 0.5000)
B (0.0000, 0.0000, 0.0000)
Os (0.5000, 0.5000, 0.5000)

The 10 most intense peaks (2θ = 15–90°), most intense first:
two_theta  I_rel
30.85  100.0
33.77  42.3
58.60  32.3
52.94  23.2
48.50  15.1
39.52  13.7
64.28  12.9
66.35  11.1
86.34  11.1
25.75  7.9